For Cr6AsC, a cell relaxed with PBE gives the computed powder X-ray diffraction pattern in this record (λ = 1.5418 Å (Cu Kα)).
No peak broadening, texture or thermal motion is included.

The 12 most intense peaks (2θ from 15° to 90°), by angle:
d_spacing	I (rel.)	h k l
2.351	37	1 0 -2
2.260	72	0 1 -2
2.155	77	2 0 -1
2.141	98	1 -2 0
2.127	19	0 2 -1
2.097	15	2 -1 0
2.075	100	1 1 1
2.010	65	-1 1 2
1.879	15	1 -1 2
1.815	47	1 2 -1
1.794	50	2 -1 1
1.302	16	0 3 1

Crystal structure
```
data_Cr6AsC
_chemical_formula_sum 'Cr6 As1 C1'
_symmetry_space_group_name_H-M 'P -1'
_symmetry_Int_Tables_number 2
_symmetry_space_group_name_Hall '-P 1'
_cell_length_a 4.461
_cell_length_b 4.489
_cell_length_c 4.943
_cell_angle_alpha 98.15
_cell_angle_beta 104.30
_cell_angle_gamma 101.54
loop_
_atom_site_label
_atom_site_fract_x
_atom_site_fract_y
_atom_site_fract_z
Cr1 0.093 0.254 0.200
Cr2 0.232 0.818 0.432
Cr3 0.293 0.387 0.772
As1 0.500 0.000 0.000
C1 0.500 0.500 0.500
```